No. 1
Diffraction record for Pr2ErSe. The X-ray powder pattern is simulated, not measured: it uses a cell relaxed with GGA-PBE and Cu Kα, 1.54184 Å.
Intensities are scaled so that the largest is 100.

Crystal structure
```
Pr2ErSe
1.0
1.966 1.135 9.716
-1.966 1.135 9.716
0.000 -2.270 9.716
Pr Er Se
2 1 1
Direct
0.234 0.234 0.234
0.766 0.766 0.766
0.000 0.000 0.000
0.500 0.500 0.500
```

Largest 10 diffraction maxima, in order of falling intensity, 5 to 70 degrees two-theta:
d (Å), intensity
3.085, 100
2.488, 42
1.966, 30
2.940, 17
1.658, 16
3.239, 14
1.681, 13
1.873, 12
1.528, 11
1.542, 10

No. 2
Diffraction record for PrEr2Se3. The X-ray powder pattern is simulated, not measured: it uses a cell relaxed with GGA-PBE and Cu Kα, 1.54184 Å.
Intensities are scaled so that the largest is 100.

Crystal structure
```
PrEr2Se3
1.0
-2.043 2.912 6.226
2.043 -2.912 6.226
2.043 2.912 -6.226
Pr Er Se
1 2 3
Direct
0.000 0.000 0.000
0.341 0.341 0.000
0.659 0.659 0.000
0.180 0.680 0.500
0.500 0.000 0.500
0.820 0.320 0.500
```

Largest 10 diffraction maxima, in order of falling intensity, 5 to 70 degrees two-theta:
d (Å), intensity
2.912, 100
2.059, 49
1.672, 13
2.043, 12
1.690, 12
2.075, 12
1.456, 12
3.380, 11
3.344, 10
1.763, 4

No. 3
Diffraction record for Pr2Er3Se6. The X-ray powder pattern is simulated, not measured: it uses a cell relaxed with GGA-PBE and Cu Kα, 1.54184 Å.
Intensities are scaled so that the largest is 100.

Crystal structure
```
Pr2Er3Se6
1.0
3.562 -6.138 0.000
3.562 6.138 0.000
-2.368 0.000 6.800
Pr Er Se
2 3 6
Direct
0.165 0.835 0.000
0.835 0.165 0.000
0.000 0.000 0.500
0.334 0.666 0.500
0.666 0.334 0.500
0.085 0.412 0.736
0.262 0.262 0.261
0.412 0.085 0.736
0.588 0.915 0.264
0.738 0.738 0.739
0.915 0.588 0.264
```

Largest 10 diffraction maxima, in order of falling intensity, 5 to 70 degrees two-theta:
d (Å), intensity
2.915, 100
2.072, 37
2.054, 25
1.675, 13
2.046, 12
6.800, 10
1.457, 8
1.700, 7
1.682, 7
3.351, 5

No. 4
Diffraction record for Pr4SmErSe8. The X-ray powder pattern is simulated, not measured: it uses a cell relaxed with GGA-PBE and Cu Kα, 1.54184 Å.
Intensities are scaled so that the largest is 100.

Crystal structure
```
Pr4SmErSe8
1.0
4.341 2.506 7.072
-4.341 2.506 7.072
0.000 -5.013 7.072
Pr Sm Er Se
4 1 1 8
Direct
0.000 0.000 0.000
0.132 0.622 0.622
0.622 0.132 0.622
0.622 0.622 0.132
0.622 0.622 0.622
0.249 0.249 0.249
0.376 0.376 0.376
0.380 0.380 0.866
0.380 0.866 0.380
0.402 0.862 0.862
0.862 0.402 0.862
0.862 0.862 0.402
0.866 0.380 0.380
0.866 0.866 0.866
```

Largest 10 diffraction maxima, in order of falling intensity, 5 to 70 degrees two-theta:
d (Å), intensity
2.169, 100
3.699, 92
3.067, 48
2.361, 46
4.338, 27
1.598, 20
1.534, 16
2.504, 13
1.417, 11
1.872, 11

No. 5
Diffraction record for PrSm2ErSe5. The X-ray powder pattern is simulated, not measured: it uses a cell relaxed with GGA-PBE and Cu Kα, 1.54184 Å.
Intensities are scaled so that the largest is 100.

Crystal structure
```
PrSm2ErSe5
1.0
5.106 0.000 0.000
0.000 5.106 0.000
0.000 0.000 11.029
Pr Sm Er Se
1 2 1 5
Direct
0.000 0.000 0.000
0.500 0.500 0.337
0.500 0.500 0.663
0.000 0.000 0.500
0.000 0.000 0.253
0.000 0.000 0.747
0.000 0.500 0.500
0.500 0.000 0.500
0.500 0.500 0.000
```

Largest 10 diffraction maxima, in order of falling intensity, 5 to 70 degrees two-theta:
d (Å), intensity
3.610, 100
11.029, 89
2.553, 86
2.576, 48
2.426, 46
2.983, 40
1.759, 35
1.805, 30
1.940, 23
1.615, 20

No. 6
Diffraction record for Sr3Pr3ErSe8. The X-ray powder pattern is simulated, not measured: it uses a cell relaxed with GGA-PBE and Cu Kα, 1.54184 Å.
Intensities are scaled so that the largest is 100.

Crystal structure
```
Sr3Pr3ErSe8
1.0
4.274 2.467 7.216
-4.274 2.467 7.216
0.000 -4.935 7.216
Sr Pr Er Se
3 3 1 8
Direct
0.000 0.500 0.500
0.500 0.000 0.500
0.500 0.500 0.000
0.000 0.000 0.500
0.000 0.500 0.000
0.500 0.000 0.000
0.500 0.500 0.500
0.248 0.248 0.248
0.256 0.737 0.737
0.263 0.263 0.744
0.263 0.744 0.263
0.737 0.256 0.737
0.737 0.737 0.256
0.744 0.263 0.263
0.752 0.752 0.752
```

Largest 10 diffraction maxima, in order of falling intensity, 5 to 70 degrees two-theta:
d (Å), intensity
3.055, 100
2.185, 38
2.137, 36
1.751, 19
7.216, 17
1.354, 16
1.378, 16
1.528, 12
1.804, 7
7.004, 7

No. 7
Diffraction record for Tb4PrErSe8. The X-ray powder pattern is simulated, not measured: it uses a cell relaxed with GGA-PBE and Cu Kα, 1.54184 Å.
Intensities are scaled so that the largest is 100.

Crystal structure
```
Tb4PrErSe8
1.0
4.250 2.453 6.914
-4.250 2.453 6.914
0.000 -4.907 6.914
Tb Pr Er Se
4 1 1 8
Direct
0.000 0.000 0.000
0.122 0.625 0.625
0.625 0.122 0.625
0.625 0.625 0.122
0.249 0.249 0.249
0.625 0.625 0.625
0.385 0.385 0.385
0.388 0.388 0.840
0.388 0.840 0.388
0.397 0.865 0.865
0.840 0.388 0.388
0.865 0.397 0.865
0.865 0.865 0.397
0.868 0.868 0.868
```

Largest 10 diffraction maxima, in order of falling intensity, 5 to 70 degrees two-theta:
d (Å), intensity
3.619, 100
3.001, 55
2.311, 53
2.120, 53
2.125, 52
4.245, 27
1.564, 18
1.501, 17
6.932, 16
1.832, 12

No. 8
Diffraction record for PrErTe2Se. The X-ray powder pattern is simulated, not measured: it uses a cell relaxed with GGA-PBE and Cu Kα, 1.54184 Å.
Intensities are scaled so that the largest is 100.

Crystal structure
```
PrErTe2Se
1.0
4.372 0.000 0.000
0.000 4.372 0.000
0.000 0.000 15.659
Pr Er Te Se
2 2 4 2
Direct
0.250 0.250 0.133
0.750 0.750 0.867
0.250 0.250 0.590
0.750 0.750 0.410
0.250 0.250 0.393
0.250 0.250 0.786
0.750 0.750 0.214
0.750 0.750 0.607
0.250 0.750 0.000
0.750 0.250 0.000
```

Largest 10 diffraction maxima, in order of falling intensity, 5 to 70 degrees two-theta:
d (Å), intensity
3.091, 100
2.186, 68
2.426, 59
3.132, 36
2.546, 33
3.033, 32
1.792, 29
1.994, 25
2.660, 23
1.546, 23

Please write out number 5 again, unchanged.
Diffraction record for PrSm2ErSe5. The X-ray powder pattern is simulated, not measured: it uses a cell relaxed with GGA-PBE and Cu Kα, 1.54184 Å.
Intensities are scaled so that the largest is 100.

Crystal structure
```
PrSm2ErSe5
1.0
5.106 0.000 0.000
0.000 5.106 0.000
0.000 0.000 11.029
Pr Sm Er Se
1 2 1 5
Direct
0.000 0.000 0.000
0.500 0.500 0.337
0.500 0.500 0.663
0.000 0.000 0.500
0.000 0.000 0.253
0.000 0.000 0.747
0.000 0.500 0.500
0.500 0.000 0.500
0.500 0.500 0.000
```

Largest 10 diffraction maxima, in order of falling intensity, 5 to 70 degrees two-theta:
d (Å), intensity
3.610, 100
11.029, 89
2.553, 86
2.576, 48
2.426, 46
2.983, 40
1.759, 35
1.805, 30
1.940, 23
1.615, 20